[1]
Starting from a crystal structure in OQMD, relaxed with GGA-PBE, the powder X-ray diffraction pattern of PmSmTc3 was simulated for Cu Kα X-rays.
Neutral-atom scattering factors, no anomalous dispersion.

Structural model:
```
10
Lattice="3.934 2.271 3.816 -3.934 2.271 3.816 0.000 -4.543 3.816" Properties=species:S:1:pos:R:3 pbc="T T T"
Pm 0.000 0.000 2.862
Pm 0.000 0.000 8.585
Sm 0.000 0.000 0.000
Sm 0.000 0.000 5.724
Tc -2.565 0.101 4.770
Tc -1.370 -2.171 6.678
Tc 1.195 -2.272 4.770
Tc -1.195 2.271 6.677
Tc 1.370 2.171 4.770
Tc 2.565 -0.101 6.677
```

Principal peaks in the range 2θ from 10° to 90°, by angle:
| Position (°2θ) | d (Å) | I/Imax |
| --- | --- | --- |
| 22.6 | 3.934 | 26 |
| 32.7 | 2.739 | 66 |
| 34.0 | 2.639 | 35 |
| 39.7 | 2.271 | 100 |
| 41.2 | 2.191 | 28 |
| 47.5 | 1.914 | 31 |
| 52.3 | 1.748 | 16 |
| 72.0 | 1.311 | 16 |

[2]
Starting from a crystal structure in OQMD, relaxed with GGA-PBE, the powder X-ray diffraction pattern of SrPmZr3 was simulated for Cu Kα X-rays.
Neutral-atom scattering factors, no anomalous dispersion.

Structural model:
```
10
Lattice="-3.571 3.571 5.617 3.571 -3.571 5.617 3.571 3.571 -5.617" Properties=species:S:1:pos:R:3 pbc="T T T"
Sr 0.000 0.000 0.000
Sr 0.000 0.000 5.617
Pm 3.571 0.000 2.808
Pm 0.000 3.571 2.808
Zr 4.681 1.110 0.000
Zr 0.000 0.000 2.808
Zr 1.110 2.461 0.000
Zr 2.461 1.110 5.617
Zr 0.000 0.000 8.425
Zr -1.110 2.461 5.617
```

Principal peaks in the range 2θ from 10° to 90°, by angle:
| Position (°2θ) | d (Å) | I/Imax |
| --- | --- | --- |
| 24.9 | 3.571 | 95 |
| 29.1 | 3.072 | 80 |
| 29.6 | 3.014 | 89 |
| 31.9 | 2.808 | 100 |
| 35.6 | 2.525 | 70 |
| 40.9 | 2.208 | 51 |
| 43.2 | 2.096 | 77 |
| 48.5 | 1.878 | 58 |

[3]
Starting from a crystal structure in OQMD, relaxed with GGA-PBE, the powder X-ray diffraction pattern of TbPmTa was simulated for Cu Kα X-rays.
Neutral-atom scattering factors, no anomalous dispersion.

Structural model:
```
12
Lattice="7.110 0.000 0.000 0.000 7.110 0.000 0.000 0.000 7.110" Properties=species:S:1:pos:R:3 pbc="T T T"
Tb 0.000 0.000 0.000
Tb 0.000 3.555 3.555
Tb 3.555 0.000 3.555
Tb 3.555 3.555 0.000
Pm 1.777 1.777 5.332
Pm 1.777 5.332 1.777
Pm 5.332 1.777 1.777
Pm 5.332 5.332 5.332
Ta 0.000 0.000 3.555
Ta 0.000 3.555 0.000
Ta 3.555 0.000 0.000
Ta 3.555 3.555 3.555
```

Principal peaks in the range 2θ from 10° to 90°, by angle:
| Position (°2θ) | d (Å) | I/Imax |
| --- | --- | --- |
| 21.6 | 4.105 | 23 |
| 25.0 | 3.555 | 19 |
| 35.7 | 2.514 | 100 |
| 42.2 | 2.144 | 12 |
| 51.4 | 1.777 | 18 |
| 64.2 | 1.451 | 37 |
| 75.7 | 1.257 | 11 |
| 86.6 | 1.124 | 17 |

[4]
Starting from a crystal structure in OQMD, relaxed with GGA-PBE, the powder X-ray diffraction pattern of Pm2TcTe2 was simulated for Cu Kα X-rays.
Neutral-atom scattering factors, no anomalous dispersion.

Structural model:
```
10
Lattice="3.799 0.000 0.000 -1.899 3.290 0.000 0.000 0.000 22.926" Properties=species:S:1:pos:R:3 pbc="T T T"
Pm 0.000 2.193 3.764
Pm 0.000 2.193 7.699
Pm 1.899 1.097 15.227
Pm 1.899 1.097 19.162
Tc 0.000 0.000 5.731
Tc 0.000 0.000 17.194
Te 0.000 2.193 12.964
Te 0.000 2.193 21.425
Te 1.899 1.097 1.501
Te 1.899 1.097 9.962
```

Principal peaks in the range 2θ from 10° to 90°, by angle:
| Position (°2θ) | d (Å) | I/Imax |
| --- | --- | --- |
| 27.4 | 3.256 | 17 |
| 29.6 | 3.022 | 29 |
| 31.4 | 2.853 | 25 |
| 33.5 | 2.673 | 100 |
| 41.8 | 2.161 | 24 |
| 47.9 | 1.899 | 43 |
| 59.7 | 1.548 | 19 |
| 79.9 | 1.200 | 16 |

What is the formula in the third record? TbPmTa